Starting from a GGA-PBE-relaxed structure, the PXRD pattern of Ho4InFe was calculated for Cu Kα X-rays.
Lines closer than 0.1° are merged.

Atomic structure:
Cell lengths 7.7370, 7.7370, 5.9921 Å; angles 99.62, 99.62, 111.59 degrees
Fractional positions:
Ho (0.0553, 0.7306, 0.9535)
Ho (0.1997, 0.3541, 0.6128)
Ho (0.2694, 0.9447, 0.5465)
Ho (0.3541, 0.1997, 0.1128)
Ho (0.6459, 0.8003, 0.8872)
Ho (0.7306, 0.0553, 0.4535)
Ho (0.8003, 0.6459, 0.3872)
Ho (0.9447, 0.2694, 0.0465)
In (0.3739, 0.6261, 0.2500)
In (0.6261, 0.3739, 0.7500)
Fe (0.0008, 0.9992, 0.7500)
Fe (0.9992, 0.0008, 0.2500)

Largest 10 diffraction maxima, sorted by position, 2θ from 5° to 70°:
- d = 3.199 Å, intensity 26
- d = 2.981 Å, intensity 23
- d = 2.914 Å, intensity 65
- d = 2.778 Å, intensity 69
- d = 2.692 Å, intensity 100
- d = 2.491 Å, intensity 22
- d = 2.449 Å, intensity 49
- d = 2.367 Å, intensity 30
- d = 2.323 Å, intensity 38
- d = 1.619 Å, intensity 29